For Dy4Ag3Ru, a cell relaxed with GGA-PBE gives the computed X-ray powder pattern in this record (Cu Kα).
Intensities are scaled so that the largest is 100.

Principal peaks in the range 2θ = 10–90°, in order of rising 2θ:
35.2°, I = 100, (1 0 4)
36.1°, I = 48, (1 1 0)
49.3°, I = 8, (0 0 8)
52.0°, I = 17, (2 0 0)
62.6°, I = 16, (1 1 8)
64.4°, I = 34, (2 1 4)
74.5°, I = 10, (2 0 8)
83.0°, I = 6, (1 0 12)
87.3°, I = 7, (3 0 4)
87.8°, I = 8, (3 1 0)

Structure:
a b c (Å): 3.514 3.514 14.800
angles (deg): 90.00 90.00 90.00
Space group P4/mmm (No. 123)
Unique sites:
Dy 0.000 0.000 0.111 [2 per cell]
Dy 0.000 0.000 0.372 [2 per cell]
Ag 0.500 0.500 0.245 [2 per cell]
Ag 0.500 0.500 0.500 [1 per cell]
Ru 0.500 0.500 0.000 [1 per cell]



For Pb2SeS, a cell relaxed with GGA-PBE gives the computed X-ray powder pattern in this record (Cu Kα).
Intensities are scaled so that the largest is 100.

Principal peaks in the range 2θ = 10–90°, in order of rising 2θ:
23.7°, I = 27, (0 0 6)
24.7°, I = 68, (1 0 1)
25.6°, I = 25, (0 1 2)
29.1°, I = 31, (1 0 4)
31.5°, I = 100, (0 1 5)
37.2°, I = 37, (1 0 7)
42.9°, I = 53, (1 1 0)
49.5°, I = 25, (1 1 6)
54.2°, I = 22, (2 0 5)
66.6°, I = 24, (1 1 12)

Structure:
a b c (Å): 4.2198 4.2198 22.5648
angles (deg): 90.00 90.00 120.00
Space group R3m (No. 160, hexagonal axes)
Unique sites:
Pb 0.0000 0.0000 0.0000 [3 per cell]
Pb 0.0000 0.0000 0.1748 [3 per cell]
Se 0.0000 0.0000 0.4098 [3 per cell]
S 0.0000 0.0000 0.5787 [3 per cell]



For Er4AlAg3, a cell relaxed with GGA-PBE gives the computed X-ray powder pattern in this record (Cu Kα).
Intensities are scaled so that the largest is 100.

Principal peaks in the range 2θ = 10–90°, in order of rising 2θ:
25.1°, I = 10, (1 0 0)
35.1°, I = 100, (1 0 4)
35.7°, I = 48, (1 1 0)
49.4°, I = 9, (0 0 8)
51.4°, I = 17, (2 0 0)
62.5°, I = 18, (1 1 8)
63.8°, I = 34, (2 1 4)
74.1°, I = 11, (2 0 8)
83.1°, I = 8, (1 0 12)
86.2°, I = 8, (3 0 4)

Structure:
a b c (Å): 3.554 3.554 14.753
angles (deg): 90.00 90.00 90.00
Space group P4/mmm (No. 123)
Unique sites:
Er 0.000 0.000 0.125 [2 per cell]
Er 0.000 0.000 0.375 [2 per cell]
Al 0.500 0.500 0.000 [1 per cell]
Ag 0.500 0.500 0.249 [2 per cell]
Ag 0.500 0.500 0.500 [1 per cell]



For ErBePd4, a cell relaxed with GGA-PBE gives the computed X-ray powder pattern in this record (Cu Kα).
Intensities are scaled so that the largest is 100.

Principal peaks in the range 2θ = 10–90°, in order of rising 2θ:
29.2°, I = 43, (1 1 0)
30.3°, I = 57, (1 1 -1)
33.7°, I = 48, (1 1 1)
36.6°, I = 48, (1 1 -2)
37.2°, I = 72, (2 0 -3)
39.8°, I = 78, (2 0 2)
40.4°, I = 44, (4 0 -1)
40.8°, I = 100, (3 1 -1)
46.2°, I = 52, (1 1 -3)
69.0°, I = 47, (5 1 1)

Structure:
a b c (Å): 8.965 3.291 7.386
angles (deg): 90.00 111.81 90.00
Space group C2/m (No. 12)
Unique sites:
Er 0.000 0.000 0.000 [2 per cell]
Be 0.000 0.500 0.500 [2 per cell]
Pd 0.121 0.000 0.404 [4 per cell]
Pd 0.163 0.500 0.821 [4 per cell]